1.
This entry pairs a crystal structure of Sc3AlIn with its computed X-ray diffraction stick pattern. Radiation: copper Kα. Structure: a crystal structure in Alexandria, relaxed with PBE.
Intensities are scaled so that the largest is 100.

Largest 6 diffraction maxima, by angle, 10 to 80 degrees two-theta:
21.31°, I = 16; 23.33°, I = 14; 35.12°, I = 100; 39.72°, I = 36; 59.82°, I = 18; 69.13°, I = 25

Crystal structure
```
10
Lattice="2.2685 -10.5601 0.0000 2.2685 10.5601 0.0000 0.0000 0.0000 4.5391" Properties=species:S:1:pos:R:3 pbc="T T T"
Sc 2.2685 9.3789 3.4043
Sc 2.2685 5.2793 3.4043
Sc 2.2685 1.1863 3.4043
Sc 2.2685 -1.1863 1.1348
Sc 2.2685 -5.2793 1.1348
Sc 2.2685 -9.3789 1.1348
Al 2.2685 7.3276 1.1348
Al 2.2685 -7.3276 3.4043
In 2.2685 3.2320 1.1348
In 2.2685 -3.2320 3.4043
```

2.
This entry pairs a crystal structure of AlInSe2 with its computed X-ray diffraction stick pattern. Radiation: copper Kα. Structure: a crystal structure in Alexandria, relaxed with PBE.
Intensities are scaled so that the largest is 100.

Largest 6 diffraction maxima, by angle, 10 to 80 degrees two-theta:
26.93°, I = 100; 29.34°, I = 66; 34.90°, I = 30; 38.57°, I = 20; 44.62°, I = 31; 48.99°, I = 32

Crystal structure
```
8
Lattice="-3.6359 3.6359 4.3277 3.6359 -3.6359 4.3277 3.6359 3.6359 -4.3277" Properties=species:S:1:pos:R:3 pbc="T T T"
Al 0.0000 0.0000 0.0000
Al 0.0000 3.6359 2.1638
In 3.6359 0.0000 2.1638
In 0.0000 0.0000 4.3277
Se 1.8179 1.1746 -1.0819
Se 2.4613 -1.8179 5.4096
Se 1.8179 2.4613 3.2458
Se 1.1746 5.4538 1.0819
```

3.
This entry pairs a crystal structure of Sm5AlIn2 with its computed X-ray diffraction stick pattern. Radiation: copper Kα. Structure: a crystal structure in Alexandria, relaxed with PBE.
Intensities are scaled so that the largest is 100.

Largest 6 diffraction maxima, by angle, 10 to 80 degrees two-theta:
30.73°, I = 100; 33.10°, I = 19; 34.78°, I = 34; 37.29°, I = 16; 49.82°, I = 16; 51.91°, I = 16

Crystal structure
```
16
Lattice="-4.0783 4.0783 7.2337 4.0783 -4.0783 7.2337 4.0783 4.0783 -7.2337" Properties=species:S:1:pos:R:3 pbc="T T T"
Sm 0.0000 0.0000 0.0000
Sm 5.4605 1.3821 -2.2269
Sm 1.3821 2.6962 -2.2269
Sm 5.4605 1.3821 2.2269
Sm 1.3821 2.6962 2.2269
Sm 0.0000 0.0000 7.2337
Sm 2.6962 1.3821 5.0068
Sm -1.3821 2.6962 5.0068
Sm 2.6962 1.3821 9.4606
Sm -1.3821 2.6962 9.4606
Al 0.0000 0.0000 3.6169
Al 0.0000 0.0000 10.8506
In 3.0483 1.0301 0.0000
In 3.0483 -1.0301 7.2337
In 1.0301 5.1084 0.0000
In 1.0301 3.0483 7.2337
```